Starting from a structure optimized by DFT (PBE+U), the powder X-ray diffraction pattern of K3ErMo2O8 was computed for a wavelength of 1.5418 Å.
Lines closer than 0.1° are merged.

Structure:
Unit cell a=6.104 b=6.104 c=7.736 alpha=90.00 beta=90.00 gamma=120.00
Fractional coordinates of all 14 atoms:
K (0.000, 0.000, 0.000)
K (0.333, 0.667, 0.665)
K (0.667, 0.333, 0.335)
Er (0.000, 0.000, 0.500)
Mo (0.333, 0.667, 0.227)
Mo (0.667, 0.333, 0.773)
O (0.170, 0.340, 0.327)
O (0.170, 0.830, 0.327)
O (0.333, 0.667, 0.995)
O (0.340, 0.170, 0.673)
O (0.660, 0.830, 0.327)
O (0.667, 0.333, 0.005)
O (0.830, 0.170, 0.673)
O (0.830, 0.660, 0.673)

Most intense lines, 10° ≤ 2θ ≤ 80°, sorted by position:
- 7.736 Å, 11.4 deg, I 28.6, (0 0 1)
- 4.365 Å, 20.3 deg, I 78.1, (1 0 1)
- 3.122 Å, 28.6 deg, I 84.1, (0 1 2)
- 3.052 Å, 29.3 deg, I 100.0, (1 1 0)
- 2.182 Å, 41.4 deg, I 45.4, (2 0 2)
- 1.935 Å, 47.0 deg, I 21.2, (0 0 4)
- 1.775 Å, 51.5 deg, I 31.7, (1 2 2)
- 1.762 Å, 51.9 deg, I 18.9, (3 0 0)